For SmGaCo, a crystal structure in Alexandria, relaxed with PBE gives the theoretical PXRD pattern in this record (a wavelength of 1.5418 Å).

Cell lengths 7.2417, 4.5055, 6.8088 Å; angles 90.00, 90.00, 90.00 degrees
Space group Pnma (No. 62)
Unique sites:
Sm: 0.0316 0.2500 0.1915 x4
Ga: 0.1907 0.2500 0.6126 x4
Co: 0.1471 0.7500 0.4370 x4

Largest 8 diffraction maxima, low angle first, 2θ from 10° to 90°:
- d 3.757, I = 20, hkl 0 1 1
- d 2.607, I = 100, hkl 2 1 1
- d 2.543, I = 74, hkl 1 1 2
- d 2.480, I = 22, hkl 2 0 2
- d 2.275, I = 26, hkl 3 0 1
- d 2.253, I = 46, hkl 0 2 0
- d 2.028, I = 38, hkl 0 1 3
- d 1.600, I = 21, hkl 3 2 1